1.
Computed X-ray diffraction stick pattern of Ac8Os3PdCl4 for λ = 1.5418 Å (Cu Kα), from a DFT-relaxed cell (PBE, Alexandria).
Peak positions follow from Bragg's law for the DFT cell and can differ from measured ones.

```
data_Ac8Os3PdCl4
_chemical_formula_sum 'Ac16 Os6 Pd2 Cl8'
_symmetry_space_group_name_H-M 'C 1 2/m 1'
_symmetry_Int_Tables_number 12
_cell_length_a 15.015
_cell_length_b 8.670
_cell_length_c 9.411
_cell_angle_alpha 90.00
_cell_angle_beta 122.17
_cell_angle_gamma 90.00
loop_
_symmetry_equiv_pos_as_xyz
'x,y,z'
'-x,-y,-z'
'-x,y,-z'
'x,-y,z'
'x+1/2,y+1/2,z'
'-x+1/2,-y+1/2,-z'
'-x+1/2,y+1/2,-z'
'x+1/2,-y+1/2,z'
loop_
_atom_site_label
_atom_site_fract_x
_atom_site_fract_y
_atom_site_fract_z
Ac1 0.018 0.241 0.296
Ac2 0.235 0.000 0.704
Ac3 0.241 0.500 0.704
Os1 0.000 0.000 0.500
Os2 0.250 0.250 0.500
Pd1 0.000 0.500 0.500
Cl1 0.000 0.000 0.000
Cl2 0.000 0.500 0.000
Cl3 0.250 0.250 0.000
```

Top 10 peaks for 15° ≤ 2θ ≤ 90°, sorted by position:
h k l, 2θ (°), I (rel.)
2 2 0, 24.9, 18.2
4 0 0, 28.1, 100.0
2 2 -3, 35.5, 24.0
2 2 2, 38.5, 31.2
0 4 0, 41.7, 38.3
6 2 -3, 43.3, 11.3
4 0 -5, 48.4, 16.6
4 4 0, 51.0, 19.2
10 2 -2, 67.9, 16.2
6 2 3, 73.8, 11.7



2.
Computed X-ray diffraction stick pattern of Ti5GaPt for λ = 1.5418 Å (Cu Kα), from a DFT-relaxed cell (PBE, Alexandria).
Peak positions follow from Bragg's law for the DFT cell and can differ from measured ones.

```
data_Ti5GaPt
_chemical_formula_sum 'Ti20 Ga4 Pt4'
_symmetry_space_group_name_H-M 'C 1 2/c 1'
_symmetry_Int_Tables_number 15
_cell_length_a 7.197
_cell_length_b 7.301
_cell_length_c 9.194
_cell_angle_alpha 90.00
_cell_angle_beta 101.02
_cell_angle_gamma 90.00
loop_
_symmetry_equiv_pos_as_xyz
'x,y,z'
'-x,-y,-z'
'-x,y,-z+1/2'
'x,-y,z+1/2'
'x+1/2,y+1/2,z'
'-x+1/2,-y+1/2,-z'
'-x+1/2,y+1/2,-z+1/2'
'x+1/2,-y+1/2,z+1/2'
loop_
_atom_site_label
_atom_site_fract_x
_atom_site_fract_y
_atom_site_fract_z
Ti1 0.000 0.129 0.250
Ti2 0.129 0.370 0.519
Ti3 0.203 0.210 0.837
Ga1 0.000 0.490 0.250
Pt1 0.000 0.000 0.000
```

Top 10 peaks for 15° ≤ 2θ ≤ 90°, sorted by position:
h k l, 2θ (°), I (rel.)
1 1 0, 17.5, 62.5
1 1 -2, 24.5, 52.1
2 0 0, 25.2, 55.7
1 1 2, 28.2, 75.3
2 2 0, 35.4, 100.0
0 0 4, 40.0, 37.5
3 1 -2, 41.6, 48.6
1 3 -2, 43.0, 92.9
2 0 -4, 43.3, 50.1
1 3 2, 45.3, 37.7



3.
Computed X-ray diffraction stick pattern of Np2CuO6 for λ = 1.5418 Å (Cu Kα), from a DFT-relaxed cell (PBE, Alexandria).
Peak positions follow from Bragg's law for the DFT cell and can differ from measured ones.

```
data_Np2CuO6
_chemical_formula_sum 'Np4 Cu2 O12'
_symmetry_space_group_name_H-M 'P n n m'
_symmetry_Int_Tables_number 58
_cell_length_a 5.271
_cell_length_b 5.285
_cell_length_c 9.948
_cell_angle_alpha 90.00
_cell_angle_beta 90.00
_cell_angle_gamma 90.00
loop_
_symmetry_equiv_pos_as_xyz
'x,y,z'
'-x,-y,-z'
'-x,-y,z'
'x,y,-z'
'x+1/2,-y+1/2,-z+1/2'
'-x+1/2,y+1/2,z+1/2'
'-x+1/2,y+1/2,-z+1/2'
'x+1/2,-y+1/2,z+1/2'
loop_
_atom_site_label
_atom_site_fract_x
_atom_site_fract_y
_atom_site_fract_z
Np1 0.000 0.000 0.177
Cu1 0.000 0.500 0.000
O1 0.163 0.183 0.000
O2 0.238 0.229 0.318
```

Top 10 peaks for 15° ≤ 2θ ≤ 90°, sorted by position:
h k l, 2θ (°), I (rel.)
0 0 2, 17.8, 26.6
1 0 1, 19.0, 97.0
1 1 0, 23.8, 86.6
1 1 2, 29.9, 74.1
0 1 3, 31.9, 100.0
2 0 0, 34.0, 44.6
1 2 1, 39.2, 26.5
2 1 3, 47.3, 80.6
2 2 0, 48.8, 29.2
4 2 0, 81.6, 22.9